(1)
Diffraction record for Li3CrO3. The PXRD pattern is computed, not measured: it uses a cell relaxed with PBE+U and Cu Kα.
Peak positions follow from Bragg's law for the DFT cell and can differ from measured ones.

Peak list (12 most intense, 2θ from 15° to 90°, by angle)
d (Å)  2theta  I (rel.)  hkl
4.929  18.00  71  0 0 2
4.728  18.77  19  1 0 0
4.263  20.84  90  1 0 1
3.412  26.12  14  1 0 2
2.698  33.20  18  1 0 3
2.388  37.67  100  1 1 2
1.829  49.85  66  1 1 4
1.758  52.01  15  2 1 1
1.576  58.57  30  3 0 0
1.501  61.80  12  3 0 2
1.408  66.41  15  2 -1 6
1.315  71.76  11  4 -2 2

Structural model:
```
data_Li3CrO3
_chemical_formula_sum 'Li12 Cr4 O12'
_space_group_name_H-M_alt 'P -3 1 c'
_space_group_IT_number 163
_space_group_name_Hall '-P 3 2c'
_cell_length_a 5.4593
_cell_length_b 5.4593
_cell_length_c 9.8585
_cell_angle_alpha 90.00
_cell_angle_beta 90.00
_cell_angle_gamma 120.00
loop_
_atom_site_label
_atom_site_type_symbol
_atom_site_fract_x
_atom_site_fract_y
_atom_site_fract_z
Li1 Li 0.0563 0.3761 0.4229
Cr1 Cr 0.0000 0.0000 0.2500
Cr2 Cr 0.3333 0.6667 0.7500
O1 O 0.0442 0.3382 0.6317
```



(2)
Diffraction record for Li5CrO5. The PXRD pattern is computed, not measured: it uses a cell relaxed with PBE+U and Cu Kα.
Peak positions follow from Bragg's law for the DFT cell and can differ from measured ones.

Peak list (12 most intense, 2θ from 15° to 90°, by angle)
d (Å)  2theta  I (rel.)  hkl
5.375  16.49  100  0 0 1
4.463  19.90  20  2 0 0
4.150  21.41  46  2 0 -1
3.723  23.90  88  1 1 0
3.273  27.25  18  1 1 -1
2.993  29.85  19  2 0 1
2.075  43.62  30  4 0 -2
2.049  44.20  32  0 2 0
2.032  44.60  29  2 0 2
1.627  56.57  13  5 1 -2
1.458  63.85  12  4 2 -2
1.443  64.61  12  2 2 2

Structural model:
```
data_Li5CrO5
_chemical_formula_sum 'Li10 Cr2 O10'
_space_group_name_H-M_alt 'C 1 2 1'
_space_group_IT_number 5
_space_group_name_Hall 'C 2y'
_cell_length_a 9.4243
_cell_length_b 4.0965
_cell_length_c 5.6754
_cell_angle_alpha 90.00
_cell_angle_beta 108.73
_cell_angle_gamma 90.00
loop_
_atom_site_label
_atom_site_type_symbol
_atom_site_fract_x
_atom_site_fract_y
_atom_site_fract_z
Li1 Li 0.0000 0.0000 0.0000
Li2 Li 0.1903 0.4812 0.3612
Li3 Li 0.2088 0.4787 0.8379
Cr1 Cr 0.0000 0.9119 0.5000
O1 O 0.0000 0.5014 0.5000
O2 O 0.1398 0.9933 0.3337
O3 O 0.1532 0.9903 0.8086
```



(3)
Diffraction record for LiCrO2. The PXRD pattern is computed, not measured: it uses a cell relaxed with PBE+U and Cu Kα.
Peak positions follow from Bragg's law for the DFT cell and can differ from measured ones.

Peak list (12 most intense, 2θ from 15° to 90°, by angle)
d (Å)  2theta  I (rel.)  hkl
4.970  17.85  100  0 0 2
2.560  35.05  8  1 0 0
2.480  36.23  44  1 0 1
2.276  39.60  27  1 0 2
2.026  44.74  53  1 0 3
1.783  51.24  15  1 0 4
1.570  58.82  22  1 0 5
1.478  62.88  20  1 1 0
1.417  65.94  13  1 1 2
1.270  74.76  8  2 0 1
1.242  76.74  9  0 0 8
1.194  80.44  7  2 0 3

Structural model:
```
data_LiCrO2
_chemical_formula_sum 'Li2 Cr2 O4'
_space_group_name_H-M_alt 'P 63 m c'
_space_group_IT_number 186
_space_group_name_Hall 'P 6c -2c'
_cell_length_a 2.9559
_cell_length_b 2.9559
_cell_length_c 9.9391
_cell_angle_alpha 90.00
_cell_angle_beta 90.00
_cell_angle_gamma 120.00
loop_
_atom_site_label
_atom_site_type_symbol
_atom_site_fract_x
_atom_site_fract_y
_atom_site_fract_z
Li1 Li 0.3333 0.6667 0.0000
Cr1 Cr 0.3333 0.6667 0.7398
O1 O 0.0000 0.0000 0.1277
O2 O 0.3333 0.6667 0.3501
```